(1)
Calculated X-ray diffraction stick pattern of Ac8Pr2Sm for CuKα, from a GGA-PBE-relaxed structure.

```
Ac8Pr2Sm
1.0
5.572 0.000 0.000
0.002 8.744 0.000
2.778 2.640 9.562
Ac Pr Sm
8 2 1
direct
0.047 0.230 0.407 Ac
0.137 0.687 0.225 Ac
0.319 0.586 0.863 Ac
0.407 0.048 0.686 Ac
0.593 0.952 0.314 Ac
0.681 0.414 0.137 Ac
0.863 0.313 0.775 Ac
0.953 0.770 0.593 Ac
0.227 0.134 0.047 Pr
0.773 0.866 0.953 Pr
0.500 0.500 0.500 Sm
```

Most intense lines, 2θ from 15° to 90°, in order of rising 2θ:
- 2θ = 27.93°, I 100.0
- 2θ = 32.13°, I 17.5
- 2θ = 32.38°, I 17.1
- 2θ = 32.57°, I 16.9
- 2θ = 46.26°, I 13.0
- 2θ = 46.40°, I 12.9
- 2θ = 54.74°, I 15.9
- 2θ = 55.09°, I 11.6
- 2θ = 55.32°, I 15.4
- 2θ = 57.74°, I 10.2

***

(2)
Calculated X-ray diffraction stick pattern of Ac12PrSm5 for CuKα, from a GGA-PBE-relaxed structure.

```
Ac12PrSm5
1.0
10.066 -5.829 0.000
10.066 5.829 0.000
-2.162 0.000 6.345
Ac Pr Sm
12 1 5
direct
0.003 0.331 0.499 Ac
0.164 0.836 0.000 Ac
0.169 0.497 0.000 Ac
0.331 0.003 0.499 Ac
0.335 0.665 0.500 Ac
0.497 0.169 0.000 Ac
0.503 0.831 0.000 Ac
0.665 0.335 0.500 Ac
0.669 0.997 0.501 Ac
0.831 0.503 0.000 Ac
0.836 0.164 0.000 Ac
0.997 0.669 0.501 Ac
0.500 0.500 0.000 Pr
0.000 0.000 0.500 Sm
0.167 0.167 0.000 Sm
0.333 0.333 0.499 Sm
0.667 0.667 0.501 Sm
0.833 0.833 0.000 Sm
```

Most intense lines, 2θ from 15° to 90°, in order of rising 2θ:
- 2θ = 28.11°, I 100.0
- 2θ = 28.20°, I 99.1
- 2θ = 32.51°, I 68.8
- 2θ = 32.84°, I 33.5
- 2θ = 46.89°, I 50.6
- 2θ = 55.30°, I 31.3
- 2θ = 55.44°, I 30.9
- 2θ = 55.81°, I 30.5
- 2θ = 58.12°, I 13.7
- 2θ = 77.68°, I 17.5

***

(3)
Calculated X-ray diffraction stick pattern of Ac8Pr3Sm3 for CuKα, from a GGA-PBE-relaxed structure.

```
Ac8Pr3Sm3
1.0
6.917 -6.878 0.000
6.917 6.878 0.000
-1.721 0.000 6.167
Ac Pr Sm
8 3 3
direct
0.110 0.630 0.947 Ac
0.220 0.480 0.442 Ac
0.370 0.890 0.053 Ac
0.480 0.220 0.442 Ac
0.520 0.780 0.558 Ac
0.630 0.110 0.947 Ac
0.780 0.520 0.558 Ac
0.890 0.370 0.053 Ac
0.230 0.230 0.851 Pr
0.500 0.500 0.000 Pr
0.770 0.770 0.149 Pr
0.000 0.000 0.000 Sm
0.133 0.867 0.500 Sm
0.867 0.133 0.500 Sm
```

Most intense lines, 2θ from 15° to 90°, in order of rising 2θ:
- 2θ = 21.02°, I 9.7
- 2θ = 27.97°, I 9.1
- 2θ = 28.47°, I 27.2
- 2θ = 28.94°, I 30.9
- 2θ = 29.77°, I 100.0
- 2θ = 36.37°, I 15.9
- 2θ = 37.62°, I 10.1
- 2θ = 48.19°, I 11.4
- 2θ = 50.35°, I 11.9
- 2θ = 80.27°, I 9.1

***

(4)
Calculated X-ray diffraction stick pattern of Ac7PrSm2 for CuKα, from a GGA-PBE-relaxed structure.

```
Ac7PrSm2
1.0
5.090 -8.232 0.000
5.090 8.232 0.000
0.000 0.000 6.106
Ac Pr Sm
7 1 2
direct
0.000 0.000 0.000 Ac
0.190 0.439 0.000 Ac
0.255 0.745 0.500 Ac
0.439 0.190 0.000 Ac
0.561 0.810 0.000 Ac
0.745 0.255 0.500 Ac
0.810 0.561 0.000 Ac
0.500 0.500 0.500 Pr
0.200 0.800 0.000 Sm
0.800 0.200 0.000 Sm
```

Most intense lines, 2θ from 15° to 90°, in order of rising 2θ:
- 2θ = 22.74°, I 32.5
- 2θ = 26.11°, I 68.2
- 2θ = 26.82°, I 26.7
- 2θ = 27.88°, I 100.0
- 2θ = 29.25°, I 77.3
- 2θ = 30.62°, I 77.7
- 2θ = 32.11°, I 59.8
- 2θ = 40.12°, I 31.6
- 2θ = 40.85°, I 73.3
- 2θ = 53.71°, I 29.6

***

(5)
Calculated X-ray diffraction stick pattern of AcPr12Sm6 for CuKα, from a GGA-PBE-relaxed structure.

```
AcPr12Sm6
1.0
6.196 3.578 5.212
-6.196 3.578 5.212
0.000 -7.155 5.212
Ac Pr Sm
1 12 6
direct
0.000 0.000 0.000 Ac
0.016 0.199 0.363 Pr
0.199 0.363 0.016 Pr
0.221 0.462 0.569 Pr
0.363 0.016 0.199 Pr
0.431 0.779 0.538 Pr
0.462 0.569 0.221 Pr
0.538 0.431 0.779 Pr
0.569 0.221 0.462 Pr
0.637 0.984 0.801 Pr
0.779 0.538 0.431 Pr
0.801 0.637 0.984 Pr
0.984 0.801 0.637 Pr
0.098 0.694 0.261 Sm
0.261 0.098 0.694 Sm
0.306 0.739 0.902 Sm
0.694 0.261 0.098 Sm
0.739 0.902 0.306 Sm
0.902 0.306 0.739 Sm
```

Most intense lines, 2θ from 15° to 90°, in order of rising 2θ:
- 2θ = 22.65°, I 13.4
- 2θ = 29.76°, I 43.3
- 2θ = 30.30°, I 28.7
- 2θ = 30.57°, I 100.0
- 2θ = 31.79°, I 68.9
- 2θ = 32.18°, I 31.4
- 2θ = 33.65°, I 20.2
- 2θ = 53.29°, I 19.3
- 2θ = 56.04°, I 14.2
- 2θ = 56.36°, I 14.3

***

(6)
Calculated X-ray diffraction stick pattern of Ac3Pr2Sm7 for CuKα, from a GGA-PBE-relaxed structure.

```
Ac3Pr2Sm7
1.0
3.812 0.000 0.000
0.000 5.886 0.000
-1.904 0.000 20.678
Ac Pr Sm
3 2 7
direct
0.000 0.000 0.000 Ac
0.318 0.500 0.638 Ac
0.682 0.500 0.362 Ac
0.140 0.000 0.280 Pr
0.860 0.000 0.720 Pr
0.086 0.500 0.172 Sm
0.218 0.000 0.435 Sm
0.430 0.000 0.859 Sm
0.500 0.500 0.000 Sm
0.570 0.000 0.141 Sm
0.782 0.000 0.565 Sm
0.914 0.500 0.828 Sm
```

Most intense lines, 2θ from 15° to 90°, in order of rising 2θ:
- 2θ = 22.90°, I 13.9
- 2θ = 28.64°, I 17.5
- 2θ = 29.94°, I 100.0
- 2θ = 30.40°, I 72.9
- 2θ = 31.80°, I 33.5
- 2θ = 33.95°, I 31.8
- 2θ = 43.56°, I 15.6
- 2θ = 47.71°, I 15.2
- 2θ = 53.70°, I 21.9
- 2θ = 57.60°, I 20.8

***

(7)
Calculated X-ray diffraction stick pattern of Ac4Pr5Sm2 for CuKα, from a GGA-PBE-relaxed structure.

```
Ac4Pr5Sm2
1.0
12.181 -1.888 0.000
12.181 1.888 0.000
-3.051 0.000 9.526
Ac Pr Sm
4 5 2
direct
0.040 0.040 0.198 Ac
0.390 0.390 0.084 Ac
0.610 0.610 0.916 Ac
0.960 0.960 0.802 Ac
0.130 0.130 0.574 Pr
0.209 0.209 0.344 Pr
0.500 0.500 0.500 Pr
0.791 0.791 0.656 Pr
0.870 0.870 0.426 Pr
0.234 0.234 0.860 Sm
0.766 0.766 0.140 Sm
```

Most intense lines, 2θ from 15° to 90°, in order of rising 2θ:
- 2θ = 26.71°, I 100.0
- 2θ = 27.41°, I 41.9
- 2θ = 27.62°, I 29.6
- 2θ = 30.18°, I 53.0
- 2θ = 30.52°, I 17.8
- 2θ = 30.82°, I 51.1
- 2θ = 34.44°, I 52.9
- 2θ = 44.14°, I 23.3
- 2θ = 48.19°, I 17.4
- 2θ = 58.31°, I 17.8

***

(8)
Calculated X-ray diffraction stick pattern of Ac3Pr3Sm2 for CuKα, from a GGA-PBE-relaxed structure.

```
Ac3Pr3Sm2
1.0
-2.665 2.703 10.740
2.665 -2.703 10.740
2.665 2.703 -10.740
Ac Pr Sm
3 3 2
direct
0.000 0.000 0.000 Ac
0.372 0.872 0.500 Ac
0.628 0.128 0.500 Ac
0.130 0.630 0.500 Pr
0.500 0.500 0.000 Pr
0.870 0.370 0.500 Pr
0.249 0.249 0.000 Sm
0.751 0.751 0.000 Sm
```

Most intense lines, 2θ from 15° to 90°, in order of rising 2θ:
- 2θ = 28.81°, I 100.0
- 2θ = 33.14°, I 17.5
- 2θ = 33.37°, I 16.8
- 2θ = 33.64°, I 16.8
- 2θ = 47.74°, I 12.5
- 2θ = 47.94°, I 13.0
- 2θ = 56.57°, I 15.4
- 2θ = 56.87°, I 14.6
- 2θ = 57.22°, I 14.9
- 2θ = 59.67°, I 12.9

***

(9)
Calculated X-ray diffraction stick pattern of AcPr4Sm8 for CuKα, from a GGA-PBE-relaxed structure.

```
AcPr4Sm8
1.0
5.815 -2.608 0.000
5.815 2.608 0.000
-1.141 0.000 15.140
Ac Pr Sm
1 4 8
direct
0.000 0.000 0.000 Ac
0.154 0.154 0.539 Pr
0.380 0.380 0.842 Pr
0.620 0.620 0.158 Pr
0.846 0.846 0.461 Pr
0.074 0.074 0.765 Sm
0.232 0.232 0.309 Sm
0.309 0.309 0.080 Sm
0.461 0.461 0.614 Sm
0.539 0.539 0.386 Sm
0.691 0.691 0.920 Sm
0.768 0.768 0.691 Sm
0.926 0.926 0.235 Sm
```

Most intense lines, 2θ from 15° to 90°, in order of rising 2θ:
- 2θ = 29.71°, I 100.0
- 2θ = 34.41°, I 33.8
- 2θ = 34.50°, I 16.9
- 2θ = 49.50°, I 36.4
- 2θ = 58.76°, I 28.9
- 2θ = 58.88°, I 14.5
- 2θ = 61.69°, I 12.5
- 2θ = 80.33°, I 11.8
- 2θ = 80.41°, I 5.8
- 2θ = 82.82°, I 8.2

***

(10)
Calculated X-ray diffraction stick pattern of Ac7PrSm3 for CuKα, from a GGA-PBE-relaxed structure.

```
Ac7PrSm3
1.0
6.190 -5.575 0.000
6.190 5.575 0.000
-0.871 0.000 6.850
Ac Pr Sm
7 1 3
direct
0.000 0.000 0.000 Ac
0.083 0.427 0.259 Ac
0.266 0.266 0.772 Ac
0.427 0.083 0.259 Ac
0.573 0.917 0.741 Ac
0.734 0.734 0.228 Ac
0.917 0.573 0.741 Ac
0.000 0.000 0.500 Pr
0.337 0.663 0.000 Sm
0.500 0.500 0.500 Sm
0.663 0.337 0.000 Sm
```

Most intense lines, 2θ from 15° to 90°, in order of rising 2θ:
- 2θ = 27.83°, I 20.0
- 2θ = 28.19°, I 71.1
- 2θ = 28.70°, I 100.0
- 2θ = 29.09°, I 65.7
- 2θ = 31.47°, I 50.7
- 2θ = 34.07°, I 65.0
- 2θ = 46.47°, I 27.3
- 2θ = 47.64°, I 23.2
- 2θ = 57.50°, I 19.6
- 2θ = 58.01°, I 18.4

***

(11)
Calculated X-ray diffraction stick pattern of AcPr6Sm2 for CuKα, from a GGA-PBE-relaxed structure.

```
AcPr6Sm2
1.0
5.637 -9.156 0.000
5.637 9.156 0.000
-0.391 0.000 6.353
Ac Pr Sm
2 12 4
direct
0.250 0.750 0.750 Ac
0.750 0.250 0.250 Ac
0.018 0.165 0.992 Pr
0.088 0.589 0.229 Pr
0.165 0.018 0.492 Pr
0.334 0.483 0.007 Pr
0.411 0.912 0.271 Pr
0.483 0.334 0.507 Pr
0.517 0.666 0.493 Pr
0.589 0.088 0.729 Pr
0.666 0.517 0.993 Pr
0.835 0.982 0.508 Pr
0.912 0.411 0.771 Pr
0.982 0.835 0.008 Pr
0.157 0.344 0.499 Sm
0.344 0.157 0.999 Sm
0.656 0.843 0.001 Sm
0.843 0.656 0.501 Sm
```

Most intense lines, 2θ from 15° to 90°, in order of rising 2θ:
- 2θ = 28.79°, I 55.8
- 2θ = 29.26°, I 54.5
- 2θ = 29.77°, I 54.0
- 2θ = 30.65°, I 100.0
- 2θ = 34.36°, I 31.0
- 2θ = 37.69°, I 30.5
- 2θ = 45.07°, I 13.0
- 2θ = 49.05°, I 14.3
- 2θ = 52.76°, I 27.8
- 2θ = 53.12°, I 21.7

***

(12)
Calculated X-ray diffraction stick pattern of Ac2PrSm for CuKα, from a GGA-PBE-relaxed structure.

```
Ac2PrSm
1.0
1.931 1.115 12.329
-1.931 1.115 12.329
0.000 -2.230 12.329
Ac Pr Sm
2 1 1
direct
0.000 0.000 0.000 Ac
0.164 0.164 0.164 Ac
0.584 0.584 0.584 Pr
0.415 0.415 0.415 Sm
```

Most intense lines, 2θ from 15° to 90°, in order of rising 2θ:
- 2θ = 27.09°, I 33.7
- 2θ = 28.97°, I 49.7
- 2θ = 29.31°, I 100.0
- 2θ = 31.66°, I 85.5
- 2θ = 47.06°, I 40.4
- 2θ = 50.01°, I 22.0
- 2θ = 54.54°, I 19.4
- 2θ = 56.21°, I 47.8
- 2θ = 56.41°, I 16.3
- 2θ = 79.59°, I 17.3